Structure and calculated powder diffraction line list of USi2 (a PBE-relaxed structure; Cu Kα X-rays).

Main lines, by angle (2θ = 10–90°):
2θ = 23.7°, I = 60
2θ = 25.2°, I = 34
2θ = 29.8°, I = 58
2θ = 35.0°, I = 100
2θ = 39.4°, I = 41
2θ = 46.6°, I = 27
2θ = 51.0°, I = 36
2θ = 56.3°, I = 20
2θ = 62.6°, I = 22
2θ = 78.9°, I = 21

Structure:
a = 7.581 Å, b = 7.581 Å, c = 7.581 Å
α = 150.22°, β = 150.22°, γ = 42.62°
Element x y z (fractional)
U 0.375 0.625 0.750
U 0.625 0.375 0.250
Si 0.043 0.793 0.250
Si 0.207 0.957 0.250
Si 0.793 0.043 0.750
Si 0.957 0.207 0.750


Structure and calculated powder diffraction line list of U3Si (a PBE-relaxed structure; Cu Kα X-rays).

Main lines, by angle (2θ = 10–90°):
2θ = 20.8°, I = 10
2θ = 20.9°, I = 18
2θ = 29.7°, I = 11
2θ = 36.6°, I = 100
2θ = 42.3°, I = 16
2θ = 42.6°, I = 33
2θ = 61.6°, I = 19
2θ = 61.9°, I = 10
2θ = 73.6°, I = 10
2θ = 74.1°, I = 23

Structure:
a = 6.020 Å, b = 6.020 Å, c = 6.020 Å
α = 120.25°, β = 120.25°, γ = 89.56°
Element x y z (fractional)
U 0.221 0.221 0.000
U 0.271 0.271 0.542
U 0.271 0.729 0.000
U 0.729 0.271 0.000
U 0.729 0.729 0.458
U 0.779 0.779 0.000
Si 0.250 0.750 0.500
Si 0.750 0.250 0.500


Structure and calculated powder diffraction line list of USi3 (a PBE-relaxed structure; Cu Kα X-rays).

Main lines, by angle (2θ = 10–90°):
2θ = 22.1°, I = 100
2θ = 31.5°, I = 86
2θ = 38.8°, I = 82
2θ = 45.1°, I = 40
2θ = 50.8°, I = 48
2θ = 56.0°, I = 36
2θ = 65.7°, I = 27
2θ = 70.2°, I = 24
2θ = 74.7°, I = 16
2θ = 79.0°, I = 33

Structure:
a = 4.021 Å, b = 4.021 Å, c = 4.021 Å
α = 90.00°, β = 90.00°, γ = 90.00°
Element x y z (fractional)
U 0.000 0.000 0.000
Si 0.000 0.500 0.500
Si 0.500 0.000 0.500
Si 0.500 0.500 0.000


Structure and calculated powder diffraction line list of USi2 (a PBE-relaxed structure; Cu Kα X-rays).

Main lines, by angle (2θ = 10–90°):
2θ = 23.1°, I = 19
2θ = 25.6°, I = 64
2θ = 34.7°, I = 100
2θ = 45.1°, I = 30
2θ = 51.3°, I = 15
2θ = 54.5°, I = 17
2θ = 58.1°, I = 23
2θ = 67.4°, I = 19
2θ = 76.5°, I = 22
2θ = 79.7°, I = 10

Structure:
a = 4.023 Å, b = 4.023 Å, c = 3.847 Å
α = 90.00°, β = 90.00°, γ = 120.00°
Element x y z (fractional)
U 0.000 0.000 0.000
Si 0.333 0.667 0.500
Si 0.667 0.333 0.500


Structure and calculated powder diffraction line list of U2Si4W3 (a PBE-relaxed structure; Cu Kα X-rays).

Main lines, by angle (2θ = 10–90°):
2θ = 29.5°, I = 50
2θ = 29.8°, I = 56
2θ = 34.7°, I = 84
2θ = 37.2°, I = 100
2θ = 37.5°, I = 56
2θ = 37.8°, I = 91
2θ = 38.1°, I = 44
2θ = 41.8°, I = 88
2θ = 42.2°, I = 57
2θ = 64.4°, I = 56

Structure:
a = 6.884 Å, b = 6.904 Å, c = 6.750 Å
α = 90.00°, β = 109.79°, γ = 90.00°
Element x y z (fractional)
U 0.186 0.165 0.057
U 0.186 0.335 0.557
U 0.814 0.665 0.443
U 0.814 0.835 0.943
Si 0.088 0.544 0.868
Si 0.088 0.956 0.368
Si 0.499 0.632 0.632
Si 0.499 0.868 0.132
Si 0.501 0.132 0.868
Si 0.501 0.368 0.368
Si 0.912 0.044 0.632
Si 0.912 0.456 0.132
W 0.245 0.663 0.253
W 0.245 0.837 0.753
W 0.500 0.000 0.500
W 0.500 0.500 0.000
W 0.755 0.163 0.247
W 0.755 0.337 0.747


Structure and calculated powder diffraction line list of V6Si5 (a PBE-relaxed structure; Cu Kα X-rays).

Main lines, by angle (2θ = 10–90°):
2θ = 25.2°, I = 15
2θ = 38.2°, I = 30
2θ = 42.3°, I = 17
2θ = 42.8°, I = 93
2θ = 44.0°, I = 67
2θ = 44.8°, I = 100
2θ = 45.1°, I = 39
2θ = 45.6°, I = 24
2θ = 64.8°, I = 25
2θ = 78.7°, I = 21

Structure:
a = 8.815 Å, b = 8.815 Å, c = 8.815 Å
α = 147.50°, β = 125.68°, γ = 64.75°
Element x y z (fractional)
V 0.000 0.000 0.500
V 0.000 0.500 0.000
V 0.133 0.413 0.720
V 0.151 0.151 0.000
V 0.308 0.587 0.720
V 0.500 0.000 0.000
V 0.500 0.253 0.753
V 0.500 0.500 0.500
V 0.500 0.747 0.247
V 0.692 0.413 0.280
V 0.849 0.849 0.000
V 0.867 0.587 0.280
Si 0.000 0.242 0.242
Si 0.000 0.758 0.758
Si 0.204 0.895 0.309
Si 0.212 0.712 0.500
Si 0.333 0.333 0.000
Si 0.414 0.105 0.309
Si 0.586 0.895 0.691
Si 0.667 0.667 0.000
Si 0.788 0.288 0.500
Si 0.796 0.105 0.691